1.
This entry pairs a crystal structure of K3HgO with its calculated powder diffractogram. Radiation: Cu Kα (λ = 1.5418 Å). Structure: a crystal structure in Alexandria, relaxed with PBE.
Neutral-atom scattering factors, no anomalous dispersion.

Structure:
a = 6.9357 Å, b = 4.3874 Å, c = 10.4029 Å
α = 90.00°, β = 101.31°, γ = 90.00°
Element x y z (fractional)
K (0.0357, 0.9997, 0.1179)
K (0.1600, 0.9967, 0.6575)
K (0.4604, 0.5000, 0.8849)
K (0.5396, 0.0000, 0.1151)
K (0.8400, 0.4967, 0.3425)
K (0.9643, 0.4997, 0.8821)
Hg (0.3657, 0.4883, 0.4328)
Hg (0.6343, 0.9883, 0.5672)
O (0.2227, 0.0032, 0.9108)
O (0.7773, 0.5032, 0.0892)

Principal peaks in the range 10 to 90 degrees two-theta, in order of falling intensity:
- 2θ = 33.4°, I 100
- 2θ = 26.8°, I 92
- 2θ = 19.6°, I 55
- 2θ = 33.1°, I 51
- 2θ = 14.2°, I 50
- 2θ = 13.0°, I 40
- 2θ = 26.6°, I 39
- 2θ = 17.4°, I 34
- 2θ = 31.4°, I 33
- 2θ = 41.1°, I 29



2.
This entry pairs a crystal structure of K5Hg2O2 with its calculated powder diffractogram. Radiation: Cu Kα (λ = 1.5418 Å). Structure: a crystal structure in Alexandria, relaxed with PBE.
Neutral-atom scattering factors, no anomalous dispersion.

Structure:
a = 9.9383 Å, b = 8.5848 Å, c = 7.2397 Å
α = 77.29°, β = 57.42°, γ = 45.29°
Element x y z (fractional)
K (0.0000, 0.0000, 0.0000)
K (0.1066, 0.1066, 0.3934)
K (0.3934, 0.3934, 0.1066)
K (0.6066, 0.6066, 0.8934)
K (0.8934, 0.8934, 0.6066)
Hg (0.2527, 0.2527, 0.7473)
Hg (0.7473, 0.7473, 0.2527)
O (0.2036, 0.7964, 0.2036)
O (0.7964, 0.2036, 0.7964)

Principal peaks in the range 10 to 90 degrees two-theta, in order of falling intensity:
- 2θ = 18.3°, I 100
- 2θ = 27.1°, I 69
- 2θ = 28.1°, I 67
- 2θ = 11.4°, I 57
- 2θ = 33.5°, I 49
- 2θ = 44.7°, I 40
- 2θ = 30.4°, I 40
- 2θ = 28.7°, I 37
- 2θ = 45.2°, I 35
- 2θ = 26.7°, I 29